(1)
For Sr5Pt4, DFT lattice parameters and positions (PBE) gives the computed XRD peak list in this record (Cu Kα, 1.54184 Å).

Atomic structure:
```
data_Sr5Pt4
_chemical_formula_sum 'Sr20 Pt16'
_symmetry_space_group_name_H-M 'P n m a'
_symmetry_Int_Tables_number 62
_cell_length_a 7.888
_cell_length_b 15.604
_cell_length_c 8.137
_cell_angle_alpha 90.00
_cell_angle_beta 90.00
_cell_angle_gamma 90.00
loop_
_symmetry_equiv_pos_as_xyz
'x,y,z'
'-x,-y,-z'
'-x+1/2,-y,z+1/2'
'x+1/2,y,-z+1/2'
'x+1/2,-y+1/2,-z+1/2'
'-x+1/2,y+1/2,z+1/2'
'-x,y+1/2,-z'
'x,-y+1/2,z'
loop_
_atom_site_label
_atom_site_fract_x
_atom_site_fract_y
_atom_site_fract_z
_atom_site_occupancy
Sr1 0.014 0.097 0.181 1
Sr2 0.164 0.750 0.511 1
Sr3 0.173 0.121 0.674 1
Pt1 0.037 0.750 0.106 1
Pt2 0.157 0.541 0.474 1
Pt3 0.220 0.250 0.369 1
```

Principal peaks in the range 10° ≤ 2θ ≤ 80°, low angle first:
(hkl), 2θ/deg, Rel. int.
1 2 1, 19.4, 73
1 3 1, 23.2, 59
1 3 2, 30.1, 93
2 3 1, 30.5, 100
0 4 2, 31.8, 48
1 4 2, 33.8, 35
1 1 3, 35.5, 49
3 0 1, 35.9, 91
2 5 0, 36.7, 36
1 7 1, 43.6, 33


(2)
For Sr2Zr2Pt3, DFT lattice parameters and positions (PBE) gives the computed XRD peak list in this record (Cu Kα, 1.54184 Å).

Atomic structure:
```
data_Sr2Zr2Pt3
_chemical_formula_sum 'Sr6 Zr6 Pt9'
_symmetry_space_group_name_H-M 'R 3 m'
_symmetry_Int_Tables_number 160
_symmetry_space_group_name_Hall 'R 3 -2"'
_cell_length_a 4.9127
_cell_length_b 4.9127
_cell_length_c 24.0686
_cell_angle_alpha 90.00
_cell_angle_beta 90.00
_cell_angle_gamma 120.00
loop_
_atom_site_label
_atom_site_fract_x
_atom_site_fract_y
_atom_site_fract_z
_atom_site_occupancy
Sr1 0.0000 0.0000 0.0000 1
Sr2 0.0000 0.0000 0.4942 1
Zr1 0.0000 0.0000 0.2519 1
Zr2 0.0000 0.0000 0.7419 1
Pt1 0.0000 0.0000 0.3724 1
Pt2 0.0000 0.0000 0.6213 1
Pt3 0.0000 0.0000 0.8700 1
```

Principal peaks in the range 10° ≤ 2θ ≤ 80°, low angle first:
(hkl), 2θ/deg, Rel. int.
0 0 3, 11.0, 12
1 0 1, 21.2, 9
0 0 6, 22.2, 10
1 0 4, 25.6, 6
0 1 5, 28.0, 5
1 1 0, 36.6, 100
1 1 6, 43.2, 5
2 0 8, 52.7, 17
3 0 0, 65.9, 35
2 2 0, 77.8, 11


(3)
For Tb5Pt4, DFT lattice parameters and positions (PBE) gives the computed XRD peak list in this record (Cu Kα, 1.54184 Å).

Atomic structure:
```
data_Tb5Pt4
_chemical_formula_sum 'Tb20 Pt16'
_symmetry_space_group_name_H-M 'P n m a'
_symmetry_Int_Tables_number 62
_cell_length_a 7.502
_cell_length_b 14.706
_cell_length_c 7.586
_cell_angle_alpha 90.00
_cell_angle_beta 90.00
_cell_angle_gamma 90.00
loop_
_symmetry_equiv_pos_as_xyz
'x,y,z'
'-x,-y,-z'
'-x+1/2,-y,z+1/2'
'x+1/2,y,-z+1/2'
'x+1/2,-y+1/2,-z+1/2'
'-x+1/2,y+1/2,z+1/2'
'-x,y+1/2,-z'
'x,-y+1/2,z'
loop_
_atom_site_label
_atom_site_fract_x
_atom_site_fract_y
_atom_site_fract_z
_atom_site_occupancy
Tb1 0.007 0.093 0.179 1
Tb2 0.148 0.623 0.333 1
Tb3 0.191 0.250 0.487 1
Pt1 0.057 0.250 0.889 1
Pt2 0.171 0.750 0.643 1
Pt3 0.189 0.041 0.533 1
```

Principal peaks in the range 10° ≤ 2θ ≤ 80°, low angle first:
(hkl), 2θ/deg, Rel. int.
1 3 2, 32.1, 100
2 3 1, 32.3, 68
0 4 2, 34.0, 37
2 4 0, 34.2, 31
1 5 1, 34.8, 29
2 4 1, 36.2, 41
0 6 0, 36.7, 28
3 0 1, 37.9, 64
1 1 3, 38.0, 47
4 3 1, 53.7, 25


(4)
For TePt15, DFT lattice parameters and positions (PBE) gives the computed XRD peak list in this record (Cu Kα, 1.54184 Å).

Atomic structure:
```
data_TePt15
_chemical_formula_sum 'Te2 Pt30'
_symmetry_space_group_name_H-M 'P 1 m 1'
_symmetry_Int_Tables_number 6
_cell_length_a 7.801
_cell_length_b 2.854
_cell_length_c 32.448
_cell_angle_alpha 90.00
_cell_angle_beta 90.01
_cell_angle_gamma 90.00
loop_
_symmetry_equiv_pos_as_xyz
'x,y,z'
'x,-y,z'
loop_
_atom_site_label
_atom_site_fract_x
_atom_site_fract_y
_atom_site_fract_z
_atom_site_occupancy
Te1 0.000 0.000 0.000 1
Te2 0.250 0.500 0.651 1
Pt1 0.000 0.000 0.088 1
Pt2 0.000 0.000 0.175 1
Pt3 0.002 0.000 0.433 1
Pt4 0.003 0.000 0.519 1
Pt5 0.006 0.000 0.610 1
Pt6 0.244 0.500 0.041 1
Pt7 0.247 0.500 0.218 1
Pt8 0.248 0.500 0.132 1
Pt9 0.250 0.500 0.476 1
Pt10 0.250 0.500 0.563 1
Pt11 0.251 0.500 0.304 1
Pt12 0.251 0.500 0.389 1
Pt13 0.494 0.000 0.611 1
Pt14 0.497 0.000 0.520 1
Pt15 0.498 0.000 0.433 1
Pt16 0.500 0.000 0.005 1
Pt17 0.500 0.000 0.089 1
Pt18 0.500 0.000 0.174 1
Pt19 0.501 0.000 0.260 1
Pt20 0.501 0.000 0.347 1
Pt21 0.748 0.500 0.304 1
Pt22 0.749 0.500 0.391 1
Pt23 0.750 0.500 0.477 1
Pt24 0.750 0.500 0.563 1
Pt25 0.750 0.500 0.646 1
Pt26 0.752 0.500 0.131 1
Pt27 0.752 0.500 0.218 1
Pt28 0.756 0.500 0.041 1
Pt29 0.999 0.000 0.262 1
Pt30 0.999 0.000 0.347 1
```

Principal peaks in the range 10° ≤ 2θ ≤ 80°, low angle first:
(hkl), 2θ/deg, Rel. int.
2 0 11, 38.3, 65
2 1 0, 39.1, 100
2 1 -1, 39.2, 32
2 0 12, 40.6, 65
0 1 11, 44.2, 43
0 1 12, 46.3, 45
4 0 0, 46.6, 31
4 1 11, 66.1, 26
4 1 12, 67.7, 29
2 2 12, 79.9, 19


(5)
For TePt15, DFT lattice parameters and positions (PBE) gives the computed XRD peak list in this record (Cu Kα, 1.54184 Å).

Atomic structure:
```
data_TePt15
_chemical_formula_sum 'Te2 Pt30'
_symmetry_space_group_name_H-M 'P 1 2/c 1'
_symmetry_Int_Tables_number 13
_cell_length_a 4.828
_cell_length_b 32.931
_cell_length_c 4.824
_cell_angle_alpha 90.00
_cell_angle_beta 109.18
_cell_angle_gamma 90.00
loop_
_symmetry_equiv_pos_as_xyz
'x,y,z'
'-x,-y,-z'
'-x,y,-z+1/2'
'x,-y,z+1/2'
loop_
_atom_site_label
_atom_site_fract_x
_atom_site_fract_y
_atom_site_fract_z
_atom_site_occupancy
Te1 0.000 0.176 0.250 1
Pt1 0.000 0.218 0.750 1
Pt2 0.000 0.264 0.250 1
Pt3 0.000 0.307 0.750 1
Pt4 0.000 0.350 0.250 1
Pt5 0.000 0.393 0.750 1
Pt6 0.000 0.436 0.250 1
Pt7 0.000 0.479 0.750 1
Pt8 0.500 0.180 0.750 1
Pt9 0.500 0.218 0.250 1
Pt10 0.500 0.264 0.750 1
Pt11 0.500 0.307 0.250 1
Pt12 0.500 0.350 0.750 1
Pt13 0.500 0.393 0.250 1
Pt14 0.500 0.436 0.750 1
Pt15 0.500 0.479 0.250 1
```

Principal peaks in the range 10° ≤ 2θ ≤ 80°, low angle first:
(hkl), 2θ/deg, Rel. int.
1 11 -1, 37.8, 61
2 0 0, 39.5, 100
2 1 0, 39.6, 32
1 12 -1, 40.1, 77
1 11 1, 44.3, 39
2 0 -2, 46.2, 43
1 12 1, 46.4, 51
3 12 -1, 67.5, 34
2 23 0, 79.0, 24
3 11 1, 79.5, 14


(6)
For TePt9, DFT lattice parameters and positions (PBE) gives the computed XRD peak list in this record (Cu Kα, 1.54184 Å).

Atomic structure:
```
data_TePt9
_chemical_formula_sum 'Te2 Pt18'
_symmetry_space_group_name_H-M 'P m m n'
_symmetry_Int_Tables_number 59
_cell_length_a 2.953
_cell_length_b 3.855
_cell_length_c 37.586
_cell_angle_alpha 90.00
_cell_angle_beta 90.00
_cell_angle_gamma 90.00
loop_
_symmetry_equiv_pos_as_xyz
'x,y,z'
'-x,-y,-z'
'-x+1/2,-y+1/2,z'
'x+1/2,y+1/2,-z'
'x+1/2,-y,-z'
'-x+1/2,y,z'
'-x,y+1/2,-z'
'x,-y+1/2,z'
loop_
_atom_site_label
_atom_site_fract_x
_atom_site_fract_y
_atom_site_fract_z
_atom_site_occupancy
Te1 0.250 0.250 0.149 1
Pt1 0.250 0.250 0.224 1
Pt2 0.250 0.250 0.297 1
Pt3 0.250 0.250 0.371 1
Pt4 0.250 0.250 0.445 1
Pt5 0.250 0.250 0.518 1
Pt6 0.250 0.250 0.592 1
Pt7 0.250 0.250 0.665 1
Pt8 0.250 0.250 0.739 1
Pt9 0.250 0.250 0.817 1
```

Principal peaks in the range 10° ≤ 2θ ≤ 80°, low angle first:
(hkl), 2θ/deg, Rel. int.
1 1 0, 38.4, 100
1 1 1, 38.5, 24
0 1 13, 38.9, 57
0 1 14, 41.0, 58
1 0 13, 43.8, 41
1 0 14, 45.7, 43
0 2 0, 47.2, 35
1 2 13, 66.3, 24
1 2 14, 67.7, 27
2 1 14, 77.9, 18


(7)
For TePt17, DFT lattice parameters and positions (PBE) gives the computed XRD peak list in this record (Cu Kα, 1.54184 Å).

Atomic structure:
```
data_TePt17
_chemical_formula_sum 'Te2 Pt34'
_symmetry_space_group_name_H-M 'P 3'
_symmetry_Int_Tables_number 143
_cell_length_a 5.5018
_cell_length_b 5.5018
_cell_length_c 30.5098
_cell_angle_alpha 90.00
_cell_angle_beta 90.00
_cell_angle_gamma 120.00
loop_
_symmetry_equiv_pos_as_xyz
'x,y,z'
'-y,x-y,z'
'-x+y,-x,z'
loop_
_atom_site_label
_atom_site_fract_x
_atom_site_fract_y
_atom_site_fract_z
_atom_site_occupancy
Te1 0.0000 0.0000 0.0000 1
Te2 0.3333 0.6667 0.3171 1
Pt1 0.0000 0.0000 0.5052 1
Pt2 0.0000 0.0000 0.7345 1
Pt3 0.0000 0.5005 0.7343 1
Pt4 0.0004 0.5006 0.5046 1
Pt5 0.1614 0.3324 0.8880 1
Pt6 0.1626 0.8282 0.4278 1
Pt7 0.1666 0.3332 0.6578 1
Pt8 0.3333 0.1663 0.5812 1
Pt9 0.3330 0.1662 0.8111 1
Pt10 0.3333 0.6667 0.5811 1
Pt11 0.3333 0.6667 0.8105 1
Pt12 0.3338 0.1017 0.3505 1
Pt13 0.4310 0.4303 0.9655 1
Pt14 0.6667 0.3333 0.4276 1
Pt15 0.6667 0.3333 0.6578 1
Pt16 0.6667 0.3333 0.8881 1
```

Principal peaks in the range 10° ≤ 2θ ≤ 80°, low angle first:
(hkl), 2θ/deg, Rel. int.
0 0 12, 35.3, 10
0 0 13, 38.4, 40
2 0 4, 39.6, 100
2 0 5, 40.7, 53
0 0 14, 41.4, 7
0 2 8, 44.9, 43
0 2 9, 46.6, 56
2 0 17, 65.1, 19
2 0 18, 67.9, 14
2 2 0, 68.2, 31


(8)
For TePt15, DFT lattice parameters and positions (PBE) gives the computed XRD peak list in this record (Cu Kα, 1.54184 Å).

Atomic structure:
```
data_TePt15
_chemical_formula_sum 'Te2 Pt30'
_symmetry_space_group_name_H-M 'P m m a'
_symmetry_Int_Tables_number 51
_cell_length_a 3.934
_cell_length_b 3.933
_cell_length_c 44.807
_cell_angle_alpha 90.00
_cell_angle_beta 90.00
_cell_angle_gamma 90.00
loop_
_symmetry_equiv_pos_as_xyz
'x,y,z'
'-x,-y,-z'
'-x+1/2,-y,z'
'x+1/2,y,-z'
'x+1/2,-y,-z'
'-x+1/2,y,z'
'-x,y,-z'
'x,-y,z'
loop_
_atom_site_label
_atom_site_fract_x
_atom_site_fract_y
_atom_site_fract_z
_atom_site_occupancy
Te1 0.250 0.000 0.154 1
Pt1 0.250 0.000 0.256 1
Pt2 0.250 0.000 0.344 1
Pt3 0.250 0.000 0.433 1
Pt4 0.250 0.000 0.522 1
Pt5 0.250 0.000 0.611 1
Pt6 0.250 0.000 0.700 1
Pt7 0.250 0.000 0.790 1
Pt8 0.250 0.500 0.210 1
Pt9 0.250 0.500 0.300 1
Pt10 0.250 0.500 0.389 1
Pt11 0.250 0.500 0.478 1
Pt12 0.250 0.500 0.567 1
Pt13 0.250 0.500 0.655 1
Pt14 0.250 0.500 0.745 1
Pt15 0.250 0.500 0.833 1
```

Principal peaks in the range 10° ≤ 2θ ≤ 80°, low angle first:
(hkl), 2θ/deg, Rel. int.
1 1 9, 37.0, 7
1 1 11, 39.2, 100
1 1 12, 40.4, 33
0 0 22, 44.5, 14
2 0 0, 46.2, 44
0 0 23, 46.6, 10
2 0 22, 66.0, 17
2 2 0, 67.3, 15
2 0 23, 67.7, 13
1 1 33, 78.4, 6